# Ti6Al16Ni7
Calculated X-ray diffraction stick pattern, λ = 1.5418 Å (Cu Kα). Input: a GGA-PBE-relaxed structure.
Lines closer than 0.1° are merged.

Largest 12 diffraction maxima, by intensity, 2θ = 10–90°:
2θ = 43.37°, intensity 100
2θ = 39.68°, intensity 49
2θ = 51.35°, intensity 37
2θ = 26.16°, intensity 25
2θ = 37.33°, intensity 25
2θ = 30.29°, intensity 18
2θ = 33.08°, intensity 16
2θ = 46.15°, intensity 15
2θ = 81.07°, intensity 15
2θ = 85.50°, intensity 14
2θ = 69.42°, intensity 14
2θ = 45.47°, intensity 13

Cell and atoms:
Lattice parameters (Å, degrees): 8.3456 8.3456 8.3456 60.00 60.00 60.00
Fractional coordinates of all 29 atoms:
1 Ti 0.1824 0.1824 0.8176
2 Ti 0.1824 0.8176 0.1824
3 Ti 0.1824 0.8176 0.8176
4 Ti 0.8176 0.1824 0.1824
5 Ti 0.8176 0.1824 0.8176
6 Ti 0.8176 0.8176 0.1824
7 Al 0.1428 0.6191 0.6191
8 Al 0.1621 0.1621 0.1621
9 Al 0.1621 0.1621 0.5138
10 Al 0.1621 0.5138 0.1621
11 Al 0.3809 0.3809 0.3809
12 Al 0.3809 0.3809 0.8572
13 Al 0.3809 0.8572 0.3809
14 Al 0.4862 0.8379 0.8379
15 Al 0.5138 0.1621 0.1621
16 Al 0.6191 0.1428 0.6191
17 Al 0.6191 0.6191 0.1428
18 Al 0.6191 0.6191 0.6191
19 Al 0.8379 0.4862 0.8379
20 Al 0.8379 0.8379 0.4862
21 Al 0.8379 0.8379 0.8379
22 Al 0.8572 0.3809 0.3809
23 Ni 0.0000 0.0000 0.5000
24 Ni 0.0000 0.5000 0.0000
25 Ni 0.0000 0.5000 0.5000
26 Ni 0.5000 0.0000 0.0000
27 Ni 0.5000 0.0000 0.5000
28 Ni 0.5000 0.5000 0.0000
29 Ni 0.5000 0.5000 0.5000

# TmAl4Ni
Calculated X-ray diffraction stick pattern, λ = 1.5418 Å (Cu Kα). Input: a GGA-PBE-relaxed structure.
Lines closer than 0.1° are merged.

Largest 12 diffraction maxima, by intensity, 2θ = 10–90°:
2θ = 35.49°, intensity 100
2θ = 17.69°, intensity 88
2θ = 31.38°, intensity 86
2θ = 37.91°, intensity 57
2θ = 39.48°, intensity 56
2θ = 26.78°, intensity 48
2θ = 22.86°, intensity 44
2θ = 37.00°, intensity 41
2θ = 39.35°, intensity 37
2θ = 45.05°, intensity 37
2θ = 50.26°, intensity 30
2θ = 60.30°, intensity 29

Cell and atoms:
Lattice parameters (Å, degrees): 7.8814 7.8814 6.6582 90.00 90.00 150.42
Fractional coordinates of all 12 atoms:
1 Tm 0.1195 0.8805 0.7500
2 Tm 0.8805 0.1195 0.2500
3 Al 0.0753 0.9247 0.2500
4 Al 0.3125 0.6875 0.5534
5 Al 0.3125 0.6875 0.9466
6 Al 0.5000 0.5000 0.0000
7 Al 0.5000 0.5000 0.5000
8 Al 0.6875 0.3125 0.0534
9 Al 0.6875 0.3125 0.4466
10 Al 0.9247 0.0753 0.7500
11 Ni 0.2280 0.7720 0.2500
12 Ni 0.7720 0.2280 0.7500

# Tm2AlNi2
Calculated X-ray diffraction stick pattern, λ = 1.5418 Å (Cu Kα). Input: a GGA-PBE-relaxed structure.
Lines closer than 0.1° are merged.

Largest 12 diffraction maxima, by intensity, 2θ = 10–90°:
2θ = 35.17°, intensity 100
2θ = 27.46°, intensity 73
2θ = 39.89°, intensity 47
2θ = 39.56°, intensity 43
2θ = 41.61°, intensity 35
2θ = 44.59°, intensity 29
2θ = 36.66°, intensity 28
2θ = 70.81°, intensity 28
2θ = 61.35°, intensity 26
2θ = 60.55°, intensity 18
2θ = 55.84°, intensity 16
2θ = 33.17°, intensity 15

Cell and atoms:
Lattice parameters (Å, degrees): 5.3335 5.3335 5.3335 135.21 119.14 78.66
Fractional coordinates of all 5 atoms:
1 Tm 0.2043 0.2043 0.0000
2 Tm 0.7957 0.7957 0.0000
3 Al 0.5000 0.0000 0.5000
4 Ni 0.2265 0.5000 0.7265
5 Ni 0.7735 0.5000 0.2735

# TmAl3Ni2
Calculated X-ray diffraction stick pattern, λ = 1.5418 Å (Cu Kα). Input: a GGA-PBE-relaxed structure.
Lines closer than 0.1° are merged.

Largest 12 diffraction maxima, by intensity, 2θ = 10–90°:
2θ = 38.11°, intensity 100
2θ = 40.38°, intensity 72
2θ = 25.05°, intensity 64
2θ = 62.30°, intensity 46
2θ = 19.87°, intensity 43
2θ = 41.65°, intensity 38
2θ = 34.78°, intensity 32
2θ = 45.31°, intensity 29
2θ = 32.18°, intensity 25
2θ = 29.97°, intensity 25
2θ = 73.40°, intensity 21
2θ = 64.56°, intensity 18

Cell and atoms:
Lattice parameters (Å, degrees): 8.9350 8.9350 4.0032 90.00 90.00 120.00
Fractional coordinates of all 18 atoms:
1 Tm 0.0000 0.0000 0.0000
2 Tm 0.3333 0.6667 0.5000
3 Tm 0.6667 0.3333 0.5000
4 Al 0.0000 0.2958 0.5000
5 Al 0.0000 0.5000 0.0000
6 Al 0.0000 0.7042 0.5000
7 Al 0.2958 0.0000 0.5000
8 Al 0.2958 0.2958 0.5000
9 Al 0.5000 0.0000 0.0000
10 Al 0.5000 0.5000 0.0000
11 Al 0.7042 0.0000 0.5000
12 Al 0.7042 0.7042 0.5000
13 Ni 0.1814 0.3628 0.0000
14 Ni 0.1814 0.8186 0.0000
15 Ni 0.3628 0.1814 0.0000
16 Ni 0.6372 0.8186 0.0000
17 Ni 0.8186 0.1814 0.0000
18 Ni 0.8186 0.6372 0.0000

# TmAlNi
Calculated X-ray diffraction stick pattern, λ = 1.5418 Å (Cu Kα). Input: a GGA-PBE-relaxed structure.
Lines closer than 0.1° are merged.

Largest 12 diffraction maxima, by intensity, 2θ = 10–90°:
2θ = 37.52°, intensity 100
2θ = 40.30°, intensity 96
2θ = 33.93°, intensity 60
2θ = 40.57°, intensity 49
2θ = 33.54°, intensity 40
2θ = 37.64°, intensity 39
2θ = 39.97°, intensity 38
2θ = 28.72°, intensity 34
2θ = 19.25°, intensity 31
2θ = 19.47°, intensity 26
2θ = 10.51°, intensity 25
2θ = 69.08°, intensity 25

Cell and atoms:
Lattice parameters (Å, degrees): 8.4182 5.2852 5.2852 60.73 90.00 90.00
Fractional coordinates of all 12 atoms:
1 Tm 0.1762 0.0000 0.0000
2 Tm 0.2939 0.6632 0.6632
3 Tm 0.7061 0.6632 0.6632
4 Tm 0.8238 0.0000 0.0000
5 Al 0.2363 0.3257 0.3257
6 Al 0.5000 0.1625 0.6711
7 Al 0.5000 0.6711 0.1625
8 Al 0.7637 0.3257 0.3257
9 Ni 0.0000 0.4975 0.4975
10 Ni 0.0000 0.5004 0.9904
11 Ni 0.0000 0.9904 0.5004
12 Ni 0.5000 0.1630 0.1630

# TmAlNi4
Calculated X-ray diffraction stick pattern, λ = 1.5418 Å (Cu Kα). Input: a GGA-PBE-relaxed structure.
Lines closer than 0.1° are merged.

Largest 12 diffraction maxima, by intensity, 2θ = 10–90°:
2θ = 43.54°, intensity 100
2θ = 42.77°, intensity 80
2θ = 37.02°, intensity 55
2θ = 30.88°, intensity 52
2θ = 45.11°, intensity 44
2θ = 30.54°, intensity 42
2θ = 42.32°, intensity 35
2θ = 22.11°, intensity 27
2θ = 59.72°, intensity 27
2θ = 70.12°, intensity 23
2θ = 63.57°, intensity 20
2θ = 20.80°, intensity 17

Cell and atoms:
Lattice parameters (Å, degrees): 4.8581 4.8581 4.0199 90.00 90.00 118.46
Fractional coordinates of all 6 atoms:
1 Tm 0.0000 0.0000 0.0000
2 Al 0.5000 0.5000 0.5000
3 Ni 0.0000 0.5000 0.5000
4 Ni 0.3335 0.6665 0.0000
5 Ni 0.5000 0.0000 0.5000
6 Ni 0.6665 0.3335 0.0000

# TmAlNi
Calculated X-ray diffraction stick pattern, λ = 1.5418 Å (Cu Kα). Input: a GGA-PBE-relaxed structure.
Lines closer than 0.1° are merged.

Largest 12 diffraction maxima, by intensity, 2θ = 10–90°:
2θ = 35.09°, intensity 100
2θ = 38.25°, intensity 95
2θ = 25.68°, intensity 40
2θ = 60.73°, intensity 37
2θ = 29.74°, intensity 36
2θ = 39.69°, intensity 32
2θ = 23.51°, intensity 29
2θ = 55.11°, intensity 27
2θ = 76.11°, intensity 21
2θ = 48.08°, intensity 21
2θ = 73.06°, intensity 19
2θ = 45.28°, intensity 19

Cell and atoms:
Lattice parameters (Å, degrees): 6.9378 6.9378 3.7846 90.00 90.00 120.00
Fractional coordinates of all 9 atoms:
1 Tm 0.0000 0.4154 0.0000
2 Tm 0.4154 0.0000 0.0000
3 Tm 0.5846 0.5846 0.0000
4 Al 0.0000 0.7598 0.5000
5 Al 0.2402 0.2402 0.5000
6 Al 0.7598 0.0000 0.5000
7 Ni 0.0000 0.0000 0.0000
8 Ni 0.3333 0.6667 0.5000
9 Ni 0.6667 0.3333 0.5000

# TmAlNi4
Calculated X-ray diffraction stick pattern, λ = 1.5418 Å (Cu Kα). Input: a GGA-PBE-relaxed structure.
Lines closer than 0.1° are merged.

Largest 12 diffraction maxima, by intensity, 2θ = 10–90°:
2θ = 42.99°, intensity 100
2θ = 31.01°, intensity 83
2θ = 41.53°, intensity 53
2θ = 35.76°, intensity 30
2θ = 64.63°, intensity 27
2θ = 47.17°, intensity 25
2θ = 61.31°, intensity 24
2θ = 69.24°, intensity 23
2θ = 75.76°, intensity 17
2θ = 20.42°, intensity 14
2θ = 84.77°, intensity 13
2θ = 60.57°, intensity 13

Cell and atoms:
Lattice parameters (Å, degrees): 5.0221 5.0221 3.8536 90.00 90.00 120.00
Fractional coordinates of all 6 atoms:
1 Tm 0.0000 0.0000 0.0000
2 Al 0.3333 0.6667 0.0000
3 Ni 0.5018 0.0037 0.5000
4 Ni 0.5018 0.4982 0.5000
5 Ni 0.6667 0.3333 0.0000
6 Ni 0.9963 0.4982 0.5000